The following is a simulated X-ray diffraction stick pattern of Li5VF8. It was derived from a crystal structure in Alexandria, relaxed with GGA+U, using Cu Kα, 1.54184 Å.

Largest 12 diffraction maxima, by angle, 2θ from 15° to 90°:
2theta  I/Imax
18.2  45
18.5  100
21.5  25
29.9  21
35.7  18
36.8  17
37.4  16
41.6  47
43.8  83
62.1  44
62.8  11
64.6  11

```
Li5VF8
1.0
-2.884 2.957 4.339
2.884 -2.957 4.339
2.884 2.957 -4.339
Li V F
5 1 8
direct
0.000 0.000 0.000
0.000 0.000 0.500
0.000 0.500 0.000
0.500 0.000 0.000
0.500 0.500 0.500
0.500 0.000 0.500
0.229 0.229 0.000
0.261 0.230 0.491
0.261 0.770 0.032
0.267 0.767 0.500
0.733 0.233 0.500
0.739 0.230 0.968
0.739 0.770 0.509
0.771 0.771 0.000
```